The following is a theoretical powder diffraction line list of Ca4Ac6Pr. It was derived from a cell relaxed with PBE, using Cu Kα (λ = 1.5418 Å).
Intensities are scaled so that the largest is 100.

Largest 8 diffraction maxima, low angle first, 10° ≤ 2θ ≤ 80°:
2θ (°)	intensity
18.99	18.8
20.72	33.2
27.52	68.6
28.78	100.0
30.14	29.6
40.24	25.2
50.22	26.8
51.00	24.0

Structural model:
Cell: 6.203 6.203 28.450 Å, 90.00 90.00 119.99°
Element x y z (fractional)
Ca1 0.001 0.999 0.627
Ca2 0.001 0.999 0.873
Ca3 0.333 0.667 0.545
Ca4 0.333 0.667 0.955
Ca5 0.667 0.333 0.045
Ca6 0.667 0.333 0.455
Ca7 0.999 0.001 0.127
Ca8 0.999 0.001 0.373
Ac1 0.000 0.000 0.000
Ac2 0.000 0.000 0.500
Ac3 0.001 0.999 0.750
Ac4 0.333 0.667 0.096
Ac5 0.333 0.667 0.404
Ac6 0.334 0.666 0.683
Ac7 0.334 0.666 0.817
Ac8 0.666 0.334 0.183
Ac9 0.666 0.334 0.317
Ac10 0.667 0.333 0.596
Ac11 0.667 0.333 0.904
Ac12 0.999 0.001 0.250
Pr1 0.332 0.668 0.250
Pr2 0.668 0.332 0.750

The following is a theoretical powder diffraction line list of La3TlGa. It was derived from a cell relaxed with PBE, using Cu Kα (λ = 1.5418 Å).
Intensities are scaled so that the largest is 100.

Largest 8 diffraction maxima, low angle first, 10° ≤ 2θ ≤ 80°:
2θ (°)	intensity
27.91	85.3
29.53	33.6
29.95	100.0
31.08	73.6
32.15	64.2
35.09	40.0
35.50	82.4
52.35	28.7

Structural model:
Cell: 8.017 8.017 9.815 Å, 90.00 90.00 97.56°
Element x y z (fractional)
La1 0.052 0.306 0.573
La2 0.072 0.928 0.847
La3 0.194 0.448 0.927
La4 0.306 0.052 0.427
La5 0.428 0.572 0.347
La6 0.448 0.194 0.073
La7 0.552 0.806 0.927
La8 0.572 0.428 0.653
La9 0.694 0.948 0.573
La10 0.806 0.552 0.073
La11 0.928 0.072 0.153
La12 0.948 0.694 0.427
Tl1 0.206 0.794 0.142
Tl2 0.294 0.706 0.642
Tl3 0.706 0.294 0.358
Tl4 0.794 0.206 0.858
Ga1 0.095 0.405 0.250
Ga2 0.405 0.095 0.750
Ga3 0.595 0.905 0.250
Ga4 0.905 0.595 0.750